# 1
For ZrTlAu3O4, a cell relaxed with PBE gives the calculated PXRD pattern in this record (Cu Kα, 1.54184 Å).
Lines closer than 0.1° are merged.

Principal peaks in the range 15 to 90 degrees two-theta, in order of rising 2θ:
d [Å]	2theta	Rel. int.
5.689	15.58	7.2
4.023	22.10	5.3
3.284	27.15	100.0
2.844	31.45	72.2
2.011	45.08	69.2
1.715	53.42	48.6
1.642	55.99	20.3
1.422	65.65	10.9
1.305	72.41	19.6
1.272	74.61	27.4
1.161	83.19	22.9
1.095	89.52	16.6

```
data_ZrTlAu3O4
_chemical_formula_sum 'Zr1 Tl1 Au3 O4'
_space_group_name_H-M_alt 'P 1'
_space_group_IT_number 1
_cell_length_a 5.6889
_cell_length_b 5.6889
_cell_length_c 5.6889
_cell_angle_alpha 90.00
_cell_angle_beta 90.00
_cell_angle_gamma 90.00
loop_
_space_group_symop_operation_xyz
'x,y,z'
loop_
_atom_site_label
_atom_site_type_symbol
_atom_site_fract_x
_atom_site_fract_y
_atom_site_fract_z
Zr1 Zr 0.0000 0.0000 0.0000
Tl1 Tl 0.5000 0.5000 0.5000
Au1 Au 0.0000 0.0000 0.5000
Au2 Au 0.0000 0.5000 0.0000
Au3 Au 0.5000 0.0000 0.0000
O1 O 0.2092 0.2092 0.7908
O2 O 0.2092 0.7908 0.2092
O3 O 0.7908 0.2092 0.2092
O4 O 0.7908 0.7908 0.7908
```

# 2
For YTmAu2O4, a cell relaxed with PBE gives the calculated PXRD pattern in this record (Cu Kα, 1.54184 Å).
Lines closer than 0.1° are merged.

Principal peaks in the range 15 to 90 degrees two-theta, in order of rising 2θ:
d [Å]	2theta	Rel. int.
3.055	29.23	45.4
2.940	30.41	92.5
2.714	33.01	100.0
2.430	36.99	34.1
1.902	47.82	26.2
1.749	52.32	36.0
1.690	54.27	29.8
1.518	61.06	35.4
1.513	61.28	12.7
1.470	63.27	15.7
1.150	84.15	14.9
1.125	86.50	13.9

```
data_YTmAu2O4
_chemical_formula_sum 'Y1 Tm1 Au2 O4'
_space_group_name_H-M_alt 'P 1'
_space_group_IT_number 1
_cell_length_a 3.4970
_cell_length_b 3.4970
_cell_length_c 12.2214
_cell_angle_alpha 90.00
_cell_angle_beta 90.00
_cell_angle_gamma 120.00
loop_
_space_group_symop_operation_xyz
'x,y,z'
loop_
_atom_site_label
_atom_site_type_symbol
_atom_site_fract_x
_atom_site_fract_y
_atom_site_fract_z
Y1 Y 0.0000 0.0000 0.0000
Tm1 Tm 0.0000 0.0000 0.5000
Au1 Au 0.3333 0.6667 0.2521
Au2 Au 0.6667 0.3333 0.7479
O1 O 0.3333 0.6667 0.0849
O2 O 0.3333 0.6667 0.4193
O3 O 0.6667 0.3333 0.5807
O4 O 0.6667 0.3333 0.9151
```

# 3
For RbTe3OsAu, a cell relaxed with PBE gives the calculated PXRD pattern in this record (Cu Kα, 1.54184 Å).
Lines closer than 0.1° are merged.

Principal peaks in the range 15 to 90 degrees two-theta, in order of rising 2θ:
d [Å]	2theta	Rel. int.
3.271	27.26	30.7
3.128	28.53	100.0
2.794	32.03	45.4
2.692	33.28	71.2
2.563	35.00	74.4
2.417	37.20	33.0
2.316	38.89	29.9
2.030	44.65	33.9
1.931	47.06	26.7
1.857	49.06	35.6
1.798	50.77	28.7
1.620	56.81	30.9

```
data_RbTe3OsAu
_chemical_formula_sum 'Rb2 Te6 Os2 Au2'
_space_group_name_H-M_alt 'P 1'
_space_group_IT_number 1
_cell_length_a 8.5207
_cell_length_b 8.5207
_cell_length_c 10.7674
_cell_angle_alpha 90.00
_cell_angle_beta 90.00
_cell_angle_gamma 152.44
loop_
_space_group_symop_operation_xyz
'x,y,z'
loop_
_atom_site_label
_atom_site_type_symbol
_atom_site_fract_x
_atom_site_fract_y
_atom_site_fract_z
Rb1 Rb 0.2405 0.7595 0.7500
Rb2 Rb 0.7595 0.2405 0.2500
Te1 Te 0.0580 0.9420 0.2500
Te2 Te 0.3926 0.6074 0.0133
Te3 Te 0.3926 0.6074 0.4867
Te4 Te 0.6074 0.3926 0.5133
Te5 Te 0.6074 0.3926 0.9867
Te6 Te 0.9420 0.0580 0.7500
Os1 Os 0.0000 0.0000 0.0000
Os2 Os 0.0000 0.0000 0.5000
Au1 Au 0.4339 0.5661 0.2500
Au2 Au 0.5661 0.4339 0.7500
```

# 4
For RbTe4OsAu3, a cell relaxed with PBE gives the calculated PXRD pattern in this record (Cu Kα, 1.54184 Å).
Lines closer than 0.1° are merged.

Principal peaks in the range 15 to 90 degrees two-theta, in order of rising 2θ:
d [Å]	2theta	Rel. int.
3.941	22.56	67.3
3.413	26.11	13.6
3.053	29.26	9.0
2.413	37.26	100.0
2.275	39.61	16.9
2.058	44.00	30.8
1.893	48.06	20.4
1.706	53.71	15.0
1.566	58.98	9.5
1.526	60.67	11.0
1.393	67.19	27.9
1.188	80.90	8.7

```
data_RbTe4OsAu3
_chemical_formula_sum 'Rb1 Te4 Os1 Au3'
_space_group_name_H-M_alt 'P 1'
_space_group_IT_number 1
_cell_length_a 6.8260
_cell_length_b 6.8260
_cell_length_c 6.8260
_cell_angle_alpha 90.00
_cell_angle_beta 90.00
_cell_angle_gamma 90.00
loop_
_space_group_symop_operation_xyz
'x,y,z'
loop_
_atom_site_label
_atom_site_type_symbol
_atom_site_fract_x
_atom_site_fract_y
_atom_site_fract_z
Rb1 Rb 0.0000 0.0000 0.0000
Te1 Te 0.2863 0.2863 0.2863
Te2 Te 0.2863 0.7137 0.7137
Te3 Te 0.7137 0.2863 0.7137
Te4 Te 0.7137 0.7137 0.2863
Os1 Os 0.5000 0.5000 0.5000
Au1 Au 0.0000 0.5000 0.5000
Au2 Au 0.5000 0.0000 0.5000
Au3 Au 0.5000 0.5000 0.0000
```

# 5
For Sc2Os3Au, a cell relaxed with PBE gives the calculated PXRD pattern in this record (Cu Kα, 1.54184 Å).
Lines closer than 0.1° are merged.

Principal peaks in the range 15 to 90 degrees two-theta, in order of rising 2θ:
d [Å]	2theta	Rel. int.
4.777	18.58	23.9
3.059	29.19	25.2
2.284	39.46	55.6
2.267	39.75	100.0
2.060	43.95	11.5
1.615	57.04	19.0
1.592	57.92	6.5
1.428	65.35	7.3
1.315	71.77	35.2
1.306	72.35	13.2
1.142	84.94	6.3
1.134	85.69	8.7

```
data_Sc2Os3Au
_chemical_formula_sum 'Sc2 Os3 Au1'
_space_group_name_H-M_alt 'P 1'
_space_group_IT_number 1
_cell_length_a 3.2294
_cell_length_b 3.2294
_cell_length_c 9.5531
_cell_angle_alpha 90.00
_cell_angle_beta 90.00
_cell_angle_gamma 90.00
loop_
_space_group_symop_operation_xyz
'x,y,z'
loop_
_atom_site_label
_atom_site_type_symbol
_atom_site_fract_x
_atom_site_fract_y
_atom_site_fract_z
Sc1 Sc 0.0000 0.0000 0.0000
Sc2 Sc 0.5000 0.5000 0.4967
Os1 Os 0.0000 0.0000 0.3563
Os2 Os 0.0000 0.0000 0.6706
Os3 Os 0.5000 0.5000 0.8124
Au1 Au 0.5000 0.5000 0.1795
```

# 6
For TlOsAu3Se4, a cell relaxed with PBE gives the calculated PXRD pattern in this record (Cu Kα, 1.54184 Å).
Lines closer than 0.1° are merged.

Principal peaks in the range 15 to 90 degrees two-theta, in order of rising 2θ:
d [Å]	2theta	Rel. int.
4.515	19.66	15.8
3.687	24.14	71.6
3.193	27.94	38.4
2.258	39.93	100.0
1.925	47.21	35.4
1.843	49.44	12.9
1.596	57.75	15.8
1.465	63.50	12.9
1.428	65.35	19.1
1.304	72.52	30.6
1.229	77.70	10.3
1.129	86.14	9.5

```
data_TlOsAu3Se4
_chemical_formula_sum 'Tl1 Os1 Au3 Se4'
_space_group_name_H-M_alt 'P 1'
_space_group_IT_number 1
_cell_length_a 6.3859
_cell_length_b 6.3859
_cell_length_c 6.3859
_cell_angle_alpha 90.00
_cell_angle_beta 90.00
_cell_angle_gamma 90.00
loop_
_space_group_symop_operation_xyz
'x,y,z'
loop_
_atom_site_label
_atom_site_type_symbol
_atom_site_fract_x
_atom_site_fract_y
_atom_site_fract_z
Tl1 Tl 0.0000 0.0000 0.0000
Os1 Os 0.5000 0.5000 0.5000
Au1 Au 0.0000 0.5000 0.5000
Au2 Au 0.5000 0.0000 0.5000
Au3 Au 0.5000 0.5000 0.0000
Se1 Se 0.2828 0.2828 0.2828
Se2 Se 0.2828 0.7172 0.7172
Se3 Se 0.7172 0.2828 0.7172
Se4 Se 0.7172 0.7172 0.2828
```